Record 1
For Ce3ThAu2, the PBE geometry in Alexandria gives the calculated powder XRD pattern in this record (Cu Kα (weighted mean of Kα1 and Kα2)).
Kinematic intensities with the Lorentz-polarization factor, no thermal factor.

Principal peaks in the range 10° ≤ 2θ ≤ 80°, in order of rising 2θ:
2θ 30.11, d 2.968, I = 41
2θ 32.73, d 2.736, I = 22
2θ 33.10, d 2.706, I = 63
2θ 34.32, d 2.613, I = 25
2θ 38.27, d 2.352, I = 100
2θ 41.45, d 2.178, I = 27
2θ 59.13, d 1.562, I = 28
2θ 59.61, d 1.551, I = 26

Structure:
```
Ce3ThAu2
1.0
5.409 -4.756 0.000
5.409 4.756 0.000
0.000 0.000 6.253
Ce Th Au
6 2 4
Direct
0.012 0.988 0.750
0.109 0.601 0.750
0.399 0.891 0.750
0.601 0.109 0.250
0.891 0.399 0.250
0.988 0.012 0.250
0.384 0.616 0.250
0.616 0.384 0.750
0.260 0.260 0.000
0.260 0.260 0.500
0.740 0.740 0.000
0.740 0.740 0.500
```

***

Record 2
For PmNd3Ag7, the PBE geometry in Alexandria gives the calculated powder XRD pattern in this record (Cu Kα (weighted mean of Kα1 and Kα2)).
Kinematic intensities with the Lorentz-polarization factor, no thermal factor.

Principal peaks in the range 10° ≤ 2θ ≤ 80°, in order of rising 2θ:
2θ 29.26, d 3.053, I = 36
2θ 30.45, d 2.936, I = 80
2θ 33.67, d 2.662, I = 54
2θ 33.86, d 2.647, I = 100
2θ 35.09, d 2.557, I = 40
2θ 41.52, d 2.175, I = 33
2θ 42.61, d 2.122, I = 29
2θ 46.79, d 1.941, I = 32

Structure:
```
PmNd3Ag7
1.0
1.941 -10.635 0.000
1.941 10.635 0.000
0.000 0.000 13.770
Pm Nd Ag
2 6 14
Direct
0.007 0.993 0.750
0.993 0.007 0.250
0.129 0.871 0.037
0.129 0.871 0.463
0.216 0.784 0.750
0.784 0.216 0.250
0.871 0.129 0.537
0.871 0.129 0.963
0.272 0.728 0.066
0.272 0.728 0.434
0.383 0.617 0.750
0.392 0.608 0.147
0.392 0.608 0.353
0.478 0.522 0.589
0.478 0.522 0.911
0.522 0.478 0.089
0.522 0.478 0.411
0.608 0.392 0.647
0.608 0.392 0.853
0.617 0.383 0.250
0.728 0.272 0.566
0.728 0.272 0.934
```

***

Record 3
For Rb2AlTlSe4, the PBE geometry in Alexandria gives the calculated powder XRD pattern in this record (Cu Kα (weighted mean of Kα1 and Kα2)).
Kinematic intensities with the Lorentz-polarization factor, no thermal factor.

Principal peaks in the range 10° ≤ 2θ ≤ 80°, in order of rising 2θ:
2θ 14.13, d 6.268, I = 52
2θ 14.59, d 6.071, I = 42
2θ 23.09, d 3.852, I = 58
2θ 25.14, d 3.542, I = 35
2θ 25.34, d 3.514, I = 23
2θ 29.37, d 3.041, I = 100
2θ 35.43, d 2.533, I = 41
2θ 46.56, d 1.951, I = 29

Structure:
```
Rb2AlTlSe4
1.0
0.000 7.318 12.142
3.249 0.000 12.142
3.249 7.318 0.000
Rb Al Tl Se
4 2 2 8
Direct
0.058 0.058 0.692
0.308 0.308 0.942
0.692 0.692 0.058
0.942 0.942 0.308
0.375 0.375 0.375
0.625 0.625 0.625
0.125 0.125 0.125
0.875 0.875 0.875
0.001 0.362 0.444
0.306 0.556 0.638
0.362 0.001 0.694
0.444 0.694 0.001
0.556 0.306 0.999
0.638 0.999 0.306
0.694 0.444 0.362
0.999 0.638 0.556
```

***

Record 4
For Rb5Hg5Pt2, the PBE geometry in Alexandria gives the calculated powder XRD pattern in this record (Cu Kα (weighted mean of Kα1 and Kα2)).
Kinematic intensities with the Lorentz-polarization factor, no thermal factor.

Principal peaks in the range 10° ≤ 2θ ≤ 80°, in order of rising 2θ:
2θ 18.77, d 4.727, I = 61
2θ 19.81, d 4.483, I = 41
2θ 26.46, d 3.368, I = 100
2θ 28.35, d 3.148, I = 42
2θ 33.76, d 2.655, I = 73
2θ 37.90, d 2.374, I = 46
2θ 39.14, d 2.301, I = 39
2θ 52.18, d 1.753, I = 52

Structure:
```
Rb5Hg5Pt2
1.0
9.229 -2.374 0.000
9.229 2.374 0.000
-8.655 0.000 10.664
Rb Hg Pt
5 5 2
Direct
0.000 0.000 0.000
0.302 0.302 0.428
0.380 0.380 0.175
0.620 0.620 0.825
0.698 0.698 0.572
0.000 0.000 0.500
0.065 0.065 0.308
0.294 0.294 0.837
0.706 0.706 0.163
0.935 0.935 0.692
0.386 0.386 0.741
0.614 0.614 0.259
```

***

Record 5
For Rb5Nb2Se6, the PBE geometry in Alexandria gives the calculated powder XRD pattern in this record (Cu Kα (weighted mean of Kα1 and Kα2)).
Kinematic intensities with the Lorentz-polarization factor, no thermal factor.

Principal peaks in the range 10° ≤ 2θ ≤ 80°, in order of rising 2θ:
2θ 12.70, d 6.968, I = 90
2θ 24.03, d 3.703, I = 100
2θ 24.68, d 3.607, I = 98
2θ 25.80, d 3.454, I = 72
2θ 26.49, d 3.364, I = 62
2θ 27.39, d 3.257, I = 53
2θ 37.35, d 2.408, I = 53
2θ 39.57, d 2.278, I = 68

Structure:
```
Rb5Nb2Se6
1.0
6.840 -4.294 0.000
6.840 4.294 0.000
-3.875 0.000 17.437
Rb Nb Se
10 4 12
Direct
0.128 0.872 0.750
0.179 0.699 0.001
0.243 0.438 0.274
0.301 0.821 0.499
0.438 0.243 0.774
0.562 0.757 0.226
0.699 0.179 0.501
0.757 0.562 0.726
0.821 0.301 0.999
0.872 0.128 0.250
0.127 0.415 0.567
0.415 0.127 0.067
0.585 0.873 0.933
0.873 0.585 0.433
0.094 0.193 0.637
0.162 0.283 0.429
0.193 0.094 0.137
0.283 0.162 0.929
0.390 0.491 0.626
0.491 0.390 0.126
0.509 0.610 0.874
0.610 0.509 0.374
0.717 0.838 0.071
0.807 0.906 0.863
0.838 0.717 0.571
0.906 0.807 0.363
```

***

Record 6
For TbPPd4, the PBE geometry in Alexandria gives the calculated powder XRD pattern in this record (Cu Kα (weighted mean of Kα1 and Kα2)).
Kinematic intensities with the Lorentz-polarization factor, no thermal factor.

Principal peaks in the range 10° ≤ 2θ ≤ 80°, in order of rising 2θ:
2θ 35.41, d 2.535, I = 100
2θ 36.58, d 2.456, I = 65
2θ 38.34, d 2.348, I = 31
2θ 39.33, d 2.291, I = 24
2θ 41.20, d 2.191, I = 20
2θ 42.31, d 2.136, I = 48
2θ 45.63, d 1.988, I = 36
2θ 72.81, d 1.299, I = 26

Structure:
```
TbPPd4
1.0
7.494 0.000 0.000
0.000 3.976 0.000
0.000 0.000 6.873
Tb P Pd
2 2 8
Direct
0.250 0.000 0.125
0.750 0.000 0.875
0.250 0.000 0.715
0.750 0.000 0.285
0.000 0.000 0.500
0.062 0.500 0.803
0.250 0.500 0.429
0.438 0.500 0.803
0.500 0.000 0.500
0.562 0.500 0.197
0.750 0.500 0.571
0.938 0.500 0.197
```

***

Record 7
For In5Ge2N6, the PBE geometry in Alexandria gives the calculated powder XRD pattern in this record (Cu Kα (weighted mean of Kα1 and Kα2)).
Kinematic intensities with the Lorentz-polarization factor, no thermal factor.

Principal peaks in the range 10° ≤ 2θ ≤ 80°, in order of rising 2θ:
2θ 29.16, d 3.063, I = 100
2θ 31.51, d 2.839, I = 62
2θ 31.63, d 2.828, I = 51
2θ 32.13, d 2.786, I = 56
2θ 33.19, d 2.699, I = 96
2θ 34.61, d 2.591, I = 45
2θ 35.70, d 2.515, I = 55
2θ 55.37, d 1.659, I = 40

Structure:
```
In5Ge2N6
1.0
5.307 -3.080 0.000
5.307 3.080 0.000
-0.898 0.000 13.068
In Ge N
10 4 12
Direct
0.046 0.954 0.750
0.087 0.771 0.050
0.229 0.913 0.450
0.328 0.381 0.304
0.381 0.328 0.804
0.619 0.672 0.196
0.672 0.619 0.696
0.771 0.087 0.550
0.913 0.229 0.950
0.954 0.046 0.250
0.161 0.447 0.588
0.447 0.161 0.088
0.553 0.839 0.912
0.839 0.553 0.412
0.075 0.347 0.703
0.191 0.292 0.454
0.292 0.191 0.954
0.347 0.075 0.203
0.415 0.476 0.130
0.476 0.415 0.630
0.524 0.585 0.370
0.585 0.524 0.870
0.653 0.925 0.797
0.708 0.809 0.046
0.809 0.708 0.546
0.925 0.653 0.297
```

***

Record 8
For Ac10Sn3Sb3, the PBE geometry in Alexandria gives the calculated powder XRD pattern in this record (Cu Kα (weighted mean of Kα1 and Kα2)).
Kinematic intensities with the Lorentz-polarization factor, no thermal factor.

Principal peaks in the range 10° ≤ 2θ ≤ 80°, in order of rising 2θ:
2θ 26.93, d 3.311, I = 28
2θ 27.58, d 3.234, I = 38
2θ 30.31, d 2.949, I = 100
2θ 30.78, d 2.905, I = 90
2θ 31.36, d 2.852, I = 49
2θ 44.52, d 2.035, I = 26
2θ 47.24, d 1.924, I = 30
2θ 61.00, d 1.519, I = 23

Structure:
```
Ac10Sn3Sb3
1.0
9.881 0.000 0.000
-4.940 8.557 0.000
0.000 0.000 7.181
Ac Sn Sb
10 3 3
Direct
0.000 0.247 0.000
0.000 0.753 0.500
0.247 0.000 0.000
0.247 0.247 0.500
0.333 0.667 0.248
0.333 0.667 0.752
0.667 0.333 0.248
0.667 0.333 0.752
0.753 0.000 0.500
0.753 0.753 0.000
0.000 0.392 0.500
0.392 0.000 0.500
0.608 0.608 0.500
0.000 0.612 0.000
0.388 0.388 0.000
0.612 0.000 0.000
```

***

Record 9
For Cs2BiTeO6, the PBE geometry in Alexandria gives the calculated powder XRD pattern in this record (Cu Kα (weighted mean of Kα1 and Kα2)).
Kinematic intensities with the Lorentz-polarization factor, no thermal factor.

Principal peaks in the range 10° ≤ 2θ ≤ 80°, in order of rising 2θ:
2θ 26.06, d 3.419, I = 29
2θ 27.38, d 3.258, I = 100
2θ 28.52, d 3.130, I = 29
2θ 38.16, d 2.359, I = 18
2θ 48.40, d 1.881, I = 20
2θ 49.11, d 1.855, I = 15
2θ 53.66, d 1.708, I = 19
2θ 56.50, d 1.629, I = 17

Structure:
```
Cs2BiTeO6
1.0
3.258 1.881 10.030
-3.258 1.881 10.030
0.000 -3.761 10.030
Cs Bi Te O
4 2 2 12
Direct
0.132 0.132 0.132
0.276 0.276 0.276
0.724 0.724 0.724
0.868 0.868 0.868
0.401 0.401 0.401
0.599 0.599 0.599
0.000 0.000 0.000
0.500 0.500 0.500
0.180 0.180 0.758
0.180 0.758 0.180
0.188 0.594 0.594
0.242 0.820 0.820
0.406 0.406 0.812
0.406 0.812 0.406
0.594 0.188 0.594
0.594 0.594 0.188
0.758 0.180 0.180
0.812 0.406 0.406
0.820 0.242 0.820
0.820 0.820 0.242
```

***

Record 10
For Pm2Nd9Sm3, the PBE geometry in Alexandria gives the calculated powder XRD pattern in this record (Cu Kα (weighted mean of Kα1 and Kα2)).
Kinematic intensities with the Lorentz-polarization factor, no thermal factor.

Principal peaks in the range 10° ≤ 2θ ≤ 80°, in order of rising 2θ:
2θ 25.71, d 3.465, I = 26
2θ 29.57, d 3.021, I = 39
2θ 30.30, d 2.950, I = 65
2θ 32.34, d 2.768, I = 100
2θ 34.23, d 2.619, I = 23
2θ 35.52, d 2.528, I = 20
2θ 52.50, d 1.743, I = 28
2θ 52.89, d 1.731, I = 17

Structure:
```
Pm2Nd9Sm3
1.0
9.223 0.000 0.000
-4.612 7.987 0.000
0.000 0.000 13.865
Pm Nd Sm
4 18 6
Direct
0.333 0.667 0.141
0.333 0.667 0.359
0.667 0.333 0.641
0.667 0.333 0.859
0.082 0.480 0.750
0.130 0.723 0.540
0.130 0.723 0.960
0.277 0.407 0.540
0.277 0.407 0.960
0.399 0.918 0.750
0.407 0.130 0.040
0.407 0.130 0.460
0.480 0.399 0.250
0.520 0.601 0.750
0.593 0.870 0.540
0.593 0.870 0.960
0.601 0.082 0.250
0.723 0.593 0.040
0.723 0.593 0.460
0.870 0.277 0.040
0.870 0.277 0.460
0.918 0.520 0.250
0.081 0.250 0.250
0.169 0.919 0.250
0.250 0.169 0.750
0.750 0.831 0.250
0.831 0.081 0.750
0.919 0.750 0.750
```